Simulated powder diffraction line list of PmMn2AsO6 for λ = 1.5418 Å (Cu Kα), from a DFT-relaxed cell (GGA+U, Alexandria).

Principal peaks in the range 2θ from 15° to 90°, sorted by position:
2θ (°)	d_spacing	I/Imax	index
19.1	4.646	31	0 1 0
19.6	4.540	29	1 -1 0
22.3	3.989	37	1 0 0
31.3	2.855	28	0 1 1
31.7	2.822	100	1 1 -1
31.9	2.809	76	1 0 -2
32.5	2.758	38	-2 1 1
45.4	1.998	26	0 2 -2

Structural model:
Cell lengths 5.517, 5.617, 5.623 Å; angles 90.63, 119.11, 119.07 degrees
Fractional coordinates of all 10 atoms:
Pm 0.000 0.000 0.000
Mn 0.430 0.222 0.693
Mn 0.430 0.693 0.222
As 0.052 0.605 0.604
O 0.297 0.399 0.402
O 0.394 0.966 0.404
O 0.396 0.405 0.968
O 0.478 0.917 0.914
O 0.933 0.876 0.534
O 0.935 0.534 0.876